Entry 1:
Computed powder X-ray diffraction pattern
Compound: LiAc2SiRh6
Radiation: Cu Kα (λ = 1.5418 Å)
Structure: DFT lattice parameters and positions (GGA-PBE)
No peak broadening, texture or thermal motion is included.

Structural model:
```
LiAc2SiRh6
1.0
-3.185 3.199 4.515
3.185 -3.199 4.515
3.185 3.199 -4.515
Li Ac Si Rh
1 2 1 6
Direct
0.000 0.000 0.000 Li
0.249 0.749 0.500 Ac
0.751 0.251 0.500 Ac
0.500 0.500 0.000 Si
0.248 0.248 0.000 Rh
0.250 0.247 0.497 Rh
0.250 0.753 0.003 Rh
0.750 0.247 0.997 Rh
0.750 0.753 0.503 Rh
0.752 0.752 0.000 Rh
```

Largest 10 diffraction maxima, most intense first, 2θ from 15° to 90°:
2θ 39.9, intensity 100
2θ 34.4, intensity 89
2θ 34.5, intensity 88
2θ 57.8, intensity 45
2θ 68.9, intensity 35
2θ 69.1, intensity 35
2θ 27.9, intensity 24
2θ 19.7, intensity 17
2θ 72.4, intensity 11
2θ 57.6, intensity 11



Entry 2:
Computed powder X-ray diffraction pattern
Compound: Ce6In2Bi
Radiation: Cu Kα (λ = 1.5418 Å)
Structure: DFT lattice parameters and positions (GGA-PBE)
No peak broadening, texture or thermal motion is included.

Structural model:
```
Ce6In2Bi
1.0
9.178 0.000 0.000
-4.589 7.948 0.000
0.000 0.000 3.216
Ce In Bi
6 2 1
Direct
0.000 0.345 0.000 Ce
0.000 0.655 0.000 Ce
0.345 0.000 0.000 Ce
0.345 0.345 0.000 Ce
0.655 0.000 0.000 Ce
0.655 0.655 0.000 Ce
0.333 0.667 0.500 In
0.667 0.333 0.500 In
0.000 0.000 0.500 Bi
```

Largest 10 diffraction maxima, most intense first, 2θ from 15° to 90°:
2θ 33.8, intensity 100
2θ 34.0, intensity 90
2θ 60.7, intensity 33
2θ 48.8, intensity 32
2θ 68.2, intensity 26
2θ 60.5, intensity 18
2θ 81.3, intensity 14
2θ 88.1, intensity 13
2θ 71.2, intensity 11
2θ 44.3, intensity 9



Entry 3:
Computed powder X-ray diffraction pattern
Compound: Cs4Rb3Tl
Radiation: Cu Kα (λ = 1.5418 Å)
Structure: DFT lattice parameters and positions (GGA-PBE)
No peak broadening, texture or thermal motion is included.

Structural model:
```
Cs4Rb3Tl
1.0
-9.086 9.086 4.331
9.086 -9.086 4.331
9.086 9.086 -4.331
Cs Rb Tl
8 6 2
Direct
0.090 0.771 0.861 Cs
0.229 0.090 0.319 Cs
0.271 0.590 0.861 Cs
0.410 0.271 0.681 Cs
0.590 0.729 0.319 Cs
0.729 0.410 0.139 Cs
0.771 0.910 0.681 Cs
0.910 0.229 0.139 Cs
0.124 0.376 0.500 Rb
0.250 0.250 0.000 Rb
0.376 0.876 0.253 Rb
0.624 0.124 0.747 Rb
0.750 0.750 0.000 Rb
0.876 0.624 0.500 Rb
0.250 0.750 0.500 Tl
0.750 0.250 0.500 Tl
```

Largest 10 diffraction maxima, most intense first, 2θ from 15° to 90°:
2θ 20.4, intensity 100
2θ 21.9, intensity 72
2θ 24.8, intensity 45
2θ 28.4, intensity 42
2θ 22.7, intensity 41
2θ 36.2, intensity 36
2θ 22.6, intensity 32
2θ 35.8, intensity 23
2θ 34.9, intensity 21
2θ 31.1, intensity 21



Entry 4:
Computed powder X-ray diffraction pattern
Compound: Tb15CeSm4
Radiation: Cu Kα (λ = 1.5418 Å)
Structure: DFT lattice parameters and positions (GGA-PBE)
No peak broadening, texture or thermal motion is included.

Structural model:
```
Tb15CeSm4
1.0
5.059 0.000 0.000
0.000 5.059 0.000
0.000 0.000 25.221
Tb Ce Sm
15 1 4
Direct
0.000 0.000 0.000 Tb
0.000 0.000 0.200 Tb
0.000 0.000 0.400 Tb
0.000 0.000 0.600 Tb
0.000 0.000 0.800 Tb
0.000 0.500 0.098 Tb
0.000 0.500 0.299 Tb
0.000 0.500 0.500 Tb
0.000 0.500 0.701 Tb
0.000 0.500 0.902 Tb
0.500 0.000 0.098 Tb
0.500 0.000 0.299 Tb
0.500 0.000 0.500 Tb
0.500 0.000 0.701 Tb
0.500 0.000 0.902 Tb
0.500 0.500 0.000 Ce
0.500 0.500 0.198 Sm
0.500 0.500 0.399 Sm
0.500 0.500 0.601 Sm
0.500 0.500 0.802 Sm
```

Largest 10 diffraction maxima, most intense first, 2θ from 15° to 90°:
2θ 30.6, intensity 100
2θ 51.1, intensity 36
2θ 35.5, intensity 34
2θ 60.7, intensity 29
2θ 35.6, intensity 17
2θ 60.9, intensity 14
2θ 63.8, intensity 12
2θ 83.4, intensity 12
2θ 85.9, intensity 11
2θ 83.3, intensity 6



Entry 5:
Computed powder X-ray diffraction pattern
Compound: NaTl2SiP2
Radiation: Cu Kα (λ = 1.5418 Å)
Structure: DFT lattice parameters and positions (GGA-PBE)
No peak broadening, texture or thermal motion is included.

Structural model:
```
NaTl2SiP2
1.0
-3.309 7.721 3.047
3.309 -7.721 3.047
3.309 7.721 -3.047
Na Tl Si P
2 4 2 4
Direct
0.250 0.250 0.000 Na
0.750 0.750 0.000 Na
0.217 0.666 0.883 Tl
0.283 0.166 0.449 Tl
0.717 0.834 0.551 Tl
0.783 0.334 0.117 Tl
0.250 0.750 0.500 Si
0.750 0.250 0.500 Si
0.079 0.321 0.400 P
0.421 0.821 0.242 P
0.579 0.179 0.758 P
0.921 0.679 0.600 P
```

Largest 10 diffraction maxima, most intense first, 2θ from 15° to 90°:
2θ 31.3, intensity 100
2θ 30.6, intensity 99
2θ 35.5, intensity 78
2θ 29.3, intensity 75
2θ 31.6, intensity 72
2θ 23.0, intensity 65
2θ 40.4, intensity 51
2θ 51.5, intensity 28
2θ 60.8, intensity 27
2θ 53.2, intensity 23



Entry 6:
Computed powder X-ray diffraction pattern
Compound: LiZnAg2
Radiation: Cu Kα (λ = 1.5418 Å)
Structure: DFT lattice parameters and positions (GGA-PBE)
No peak broadening, texture or thermal motion is included.

Structural model:
```
LiZnAg2
1.0
2.900 0.000 0.000
0.000 4.348 0.000
-1.216 0.000 5.077
Li Zn Ag
1 1 2
Direct
0.000 0.000 0.000 Li
0.107 0.500 0.289 Zn
0.402 0.500 0.816 Ag
0.703 0.000 0.483 Ag
```

Largest 10 diffraction maxima, most intense first, 2θ from 15° to 90°:
2θ 38.7, intensity 100
2θ 41.2, intensity 97
2θ 27.0, intensity 85
2θ 38.0, intensity 79
2θ 41.5, intensity 59
2θ 40.0, intensity 48
2θ 17.5, intensity 39
2θ 42.0, intensity 37
2θ 59.1, intensity 29
2θ 60.5, intensity 24



Entry 7:
Computed powder X-ray diffraction pattern
Compound: B2IrO
Radiation: Cu Kα (λ = 1.5418 Å)
Structure: DFT lattice parameters and positions (GGA-PBE)
No peak broadening, texture or thermal motion is included.

Structural model:
```
B2IrO
1.0
4.668 0.000 0.000
0.000 4.668 0.000
0.000 0.000 6.936
B Ir O
8 4 4
Direct
0.177 0.250 0.125 B
0.250 0.677 0.375 B
0.250 0.823 0.875 B
0.323 0.250 0.625 B
0.677 0.750 0.625 B
0.750 0.177 0.875 B
0.750 0.323 0.375 B
0.823 0.750 0.125 B
0.000 0.000 0.500 Ir
0.000 0.500 0.750 Ir
0.500 0.000 0.250 Ir
0.500 0.500 0.000 Ir
0.000 0.000 0.000 O
0.000 0.500 0.250 O
0.500 0.000 0.750 O
0.500 0.500 0.500 O
```

Largest 10 diffraction maxima, most intense first, 2θ from 15° to 90°:
2θ 23.0, intensity 100
2θ 37.6, intensity 89
2θ 45.4, intensity 40
2θ 38.6, intensity 36
2θ 69.2, intensity 29
2θ 43.7, intensity 22
2θ 67.3, intensity 17
2θ 59.7, intensity 17
2θ 55.7, intensity 15
2θ 61.0, intensity 9



Entry 8:
Computed powder X-ray diffraction pattern
Compound: NaIn6Sn6
Radiation: Cu Kα (λ = 1.5418 Å)
Structure: DFT lattice parameters and positions (GGA-PBE)
No peak broadening, texture or thermal motion is included.

Structural model:
```
NaIn6Sn6
1.0
8.165 0.000 0.000
0.000 8.165 0.000
0.000 0.000 8.165
Na In Sn
1 6 6
Direct
0.000 0.000 0.000 Na
0.000 0.251 0.500 In
0.000 0.749 0.500 In
0.251 0.500 0.000 In
0.500 0.000 0.251 In
0.500 0.000 0.749 In
0.749 0.500 0.000 In
0.000 0.500 0.248 Sn
0.000 0.500 0.752 Sn
0.248 0.000 0.500 Sn
0.500 0.248 0.000 Sn
0.500 0.752 0.000 Sn
0.752 0.000 0.500 Sn
```

Largest 10 diffraction maxima, most intense first, 2θ from 15° to 90°:
2θ 15.3, intensity 100
2θ 38.2, intensity 69
2θ 26.7, intensity 67
2θ 41.4, intensity 42
2θ 44.4, intensity 36
2θ 21.8, intensity 28
2θ 34.7, intensity 28
2θ 77.6, intensity 27
2θ 64.6, intensity 23
2θ 57.6, intensity 19



Entry 9:
Computed powder X-ray diffraction pattern
Compound: Y4Ge6Ir7
Radiation: Cu Kα (λ = 1.5418 Å)
Structure: DFT lattice parameters and positions (GGA-PBE)
No peak broadening, texture or thermal motion is included.

Structural model:
```
Y4Ge6Ir7
1.0
-4.210 4.210 4.210
4.210 -4.210 4.210
4.210 4.210 -4.210
Y Ge Ir
4 6 7
Direct
0.000 0.000 0.500 Y
0.000 0.500 0.000 Y
0.500 0.000 0.000 Y
0.500 0.500 0.500 Y
0.000 0.319 0.319 Ge
0.000 0.681 0.681 Ge
0.319 0.000 0.319 Ge
0.319 0.319 0.000 Ge
0.681 0.000 0.681 Ge
0.681 0.681 0.000 Ge
0.000 0.000 0.000 Ir
0.250 0.500 0.750 Ir
0.250 0.750 0.500 Ir
0.500 0.250 0.750 Ir
0.500 0.750 0.250 Ir
0.750 0.250 0.500 Ir
0.750 0.500 0.250 Ir
```

Largest 10 diffraction maxima, most intense first, 2θ from 15° to 90°:
2θ 37.0, intensity 100
2θ 43.0, intensity 74
2θ 40.1, intensity 57
2θ 62.4, intensity 41
2θ 25.9, intensity 34
2θ 74.8, intensity 28
2θ 50.9, intensity 27
2θ 21.1, intensity 19
2θ 76.8, intensity 17
2θ 68.7, intensity 16



Entry 10:
Computed powder X-ray diffraction pattern
Compound: Hf6Bi2P
Radiation: Cu Kα (λ = 1.5418 Å)
Structure: DFT lattice parameters and positions (GGA-PBE)
No peak broadening, texture or thermal motion is included.

Structural model:
```
Hf6Bi2P
1.0
6.041 0.000 0.000
0.000 6.957 0.000
-5.917 0.000 9.612
Hf Bi P
12 4 2
Direct
0.109 0.219 0.469 Hf
0.109 0.281 0.969 Hf
0.313 0.667 0.476 Hf
0.313 0.833 0.976 Hf
0.377 0.018 0.247 Hf
0.377 0.482 0.747 Hf
0.623 0.518 0.253 Hf
0.623 0.982 0.753 Hf
0.687 0.167 0.024 Hf
0.687 0.333 0.524 Hf
0.891 0.719 0.031 Hf
0.891 0.781 0.531 Hf
0.140 0.099 0.737 Bi
0.140 0.401 0.237 Bi
0.860 0.599 0.763 Bi
0.860 0.901 0.263 Bi
0.500 0.000 0.500 P
0.500 0.500 0.000 P
```

Largest 10 diffraction maxima, most intense first, 2θ from 15° to 90°:
2θ 31.8, intensity 100
2θ 33.6, intensity 61
2θ 37.4, intensity 61
2θ 37.3, intensity 41
2θ 37.7, intensity 40
2θ 35.0, intensity 40
2θ 42.9, intensity 34
2θ 33.8, intensity 33
2θ 35.3, intensity 32
2θ 41.7, intensity 23



Entry 11:
Computed powder X-ray diffraction pattern
Compound: AcPmHg4
Radiation: Cu Kα (λ = 1.5418 Å)
Structure: DFT lattice parameters and positions (GGA-PBE)
No peak broadening, texture or thermal motion is included.

Structural model:
```
AcPmHg4
1.0
3.662 0.000 0.000
0.000 5.132 0.000
0.000 0.000 8.779
Ac Pm Hg
1 1 4
Direct
0.000 0.000 0.000 Ac
0.000 0.500 0.500 Pm
0.500 0.000 0.338 Hg
0.500 0.000 0.662 Hg
0.500 0.500 0.174 Hg
0.500 0.500 0.826 Hg
```

Largest 10 diffraction maxima, most intense first, 2θ from 15° to 90°:
2θ 31.7, intensity 100
2θ 35.3, intensity 88
2θ 31.8, intensity 52
2θ 35.0, intensity 46
2θ 62.5, intensity 34
2θ 48.0, intensity 34
2θ 62.3, intensity 18
2θ 49.8, intensity 17
2θ 62.9, intensity 17
2θ 61.3, intensity 17



Entry 12:
Computed powder X-ray diffraction pattern
Compound: Mg2ReTePb
Radiation: Cu Kα (λ = 1.5418 Å)
Structure: DFT lattice parameters and positions (GGA-PBE)
No peak broadening, texture or thermal motion is included.

Structural model:
```
Mg2ReTePb
1.0
5.256 0.000 0.000
0.000 5.256 0.000
0.000 0.000 4.975
Mg Re Te Pb
2 1 1 1
Direct
0.000 0.500 0.000 Mg
0.500 0.000 0.000 Mg
0.000 0.000 0.000 Re
0.000 0.000 0.500 Te
0.500 0.500 0.500 Pb
```

Largest 10 diffraction maxima, most intense first, 2θ from 15° to 90°:
2θ 23.9, intensity 100
2θ 34.1, intensity 62
2θ 24.6, intensity 61
2θ 43.8, intensity 42
2θ 50.5, intensity 41
2θ 42.5, intensity 30
2θ 36.1, intensity 26
2θ 67.8, intensity 23
2θ 49.0, intensity 22
2θ 62.4, intensity 22



Entry 13:
Computed powder X-ray diffraction pattern
Compound: YTmHgC
Radiation: Cu Kα (λ = 1.5418 Å)
Structure: DFT lattice parameters and positions (GGA-PBE)
No peak broadening, texture or thermal motion is included.

Structural model:
```
YTmHgC
1.0
3.587 0.000 0.000
-1.793 3.106 0.000
0.000 0.000 23.357
Y Tm Hg C
3 3 3 3
Direct
0.000 0.000 0.000 Y
0.333 0.667 0.667 Y
0.667 0.333 0.333 Y
0.000 0.000 0.219 Tm
0.333 0.667 0.885 Tm
0.667 0.333 0.552 Tm
0.000 0.000 0.779 Hg
0.333 0.667 0.445 Hg
0.667 0.333 0.112 Hg
0.000 0.000 0.609 C
0.333 0.667 0.275 C
0.667 0.333 0.942 C
```

Largest 10 diffraction maxima, most intense first, 2θ from 15° to 90°:
2θ 34.7, intensity 100
2θ 32.7, intensity 90
2θ 63.0, intensity 62
2θ 29.8, intensity 58
2θ 50.9, intensity 46
2θ 34.6, intensity 42
2θ 39.6, intensity 32
2θ 29.0, intensity 24
2θ 63.3, intensity 18
2θ 85.2, intensity 16